# 1
The following is a computed X-ray powder pattern of La2Ga2Co. It was derived from a cell relaxed with PBE, using Cu Kα X-rays.
Neutral-atom scattering factors, no anomalous dispersion.

Main lines, sorted by position (5° ≤ 2θ ≤ 70°):
- 22.78°, intensity 31, (2 0 -3)
- 28.19°, intensity 39, (1 1 -2)
- 30.16°, intensity 34, (4 0 -2)
- 32.55°, intensity 100, (1 1 2)
- 33.23°, intensity 94, (3 1 -1)
- 33.41°, intensity 52, (0 0 4)
- 38.71°, intensity 31, (4 0 1)
- 39.82°, intensity 42, (3 1 -4)
- 45.25°, intensity 32, (3 1 -5)
- 48.95°, intensity 32, (0 2 0)

Cell and atoms:
Cell: 11.861 3.721 12.064 Å, 90.00 117.22 90.00°
Space group C2/m (No. 12)
Inequivalent atoms, fractional coordinates:
La1 0.096 0.000 0.380 x4
La2 0.225 0.500 0.143 x4
Ga1 0.028 0.000 0.909 x4
Ga2 0.118 0.500 0.613 x4
Co1 0.067 0.500 0.797 x4

# 2
The following is a computed X-ray powder pattern of La2NdGaCo. It was derived from a cell relaxed with PBE, using Cu Kα X-rays.
Neutral-atom scattering factors, no anomalous dispersion.

Main lines, sorted by position (5° ≤ 2θ ≤ 70°):
- 16.29°, intensity 8, (0 0 1)
- 17.18°, intensity 18, (1 0 0)
- 29.47°, intensity 100, (1 1 1)
- 32.93°, intensity 31, (0 0 2)
- 34.76°, intensity 54, (2 0 0)
- 48.63°, intensity 41, (2 0 2)
- 49.97°, intensity 19, (2 2 0)
- 56.67°, intensity 16, (1 1 3)
- 59.08°, intensity 28, (3 1 1)
- 61.15°, intensity 21, (2 2 2)

Cell and atoms:
Cell: 5.162 5.162 5.441 Å, 90.00 90.00 90.00°
Space group P4mm (No. 99)
Inequivalent atoms, fractional coordinates:
La1 0.000 0.500 0.000 x2
Nd1 0.000 0.000 0.500 x1
Ga1 0.500 0.500 0.502 x1
Co1 0.000 0.000 0.000 x1

# 3
The following is a computed X-ray powder pattern of La2Ga3CoNi12. It was derived from a cell relaxed with PBE, using Cu Kα X-rays.
Neutral-atom scattering factors, no anomalous dispersion.

Main lines, sorted by position (5° ≤ 2θ ≤ 70°):
- 30.99°, intensity 100, (1 1 3)
- 33.85°, intensity 27, (0 2 1)
- 36.26°, intensity 44, (1 1 6)
- 36.66°, intensity 38, (0 2 4)
- 39.71°, intensity 38, (1 0 10)
- 43.84°, intensity 28, (1 1 9)
- 44.64°, intensity 32, (2 0 8)
- 45.64°, intensity 50, (1 2 2)
- 56.30°, intensity 34, (3 0 6)
- 60.19°, intensity 37, (2 2 0)

Cell and atoms:
Cell: 6.1501 6.1501 25.0880 Å, 90.00 90.00 120.00°
Space group R-3m (No. 166, hexagonal axes)
Inequivalent atoms, fractional coordinates:
La1 0.0000 0.0000 0.1580 x6
Ga1 0.0000 0.5000 0.0000 x9
Co1 0.0000 0.0000 0.5000 x3
Ni1 0.0604 0.5302 0.0958 x18
Ni2 0.0725 0.5362 0.6168 x18